The following is a computed XRD peak list of Hf7As4. It was derived from a cell relaxed with GGA-PBE, using λ = 1.5418 Å (Cu Kα).

Crystal structure
a = 8.321 Å, b = 8.321 Å, c = 15.013 Å
α = 104.06°, β = 104.06°, γ = 25.07°
Fractional coordinates of all 22 atoms:
Hf1 0.000 0.000 0.000
Hf2 0.003 0.003 0.666
Hf3 0.179 0.179 0.542
Hf4 0.196 0.196 0.310
Hf5 0.207 0.207 0.797
Hf6 0.337 0.337 0.029
Hf7 0.431 0.431 0.829
Hf8 0.500 0.500 0.500
Hf9 0.569 0.569 0.171
Hf10 0.663 0.663 0.971
Hf11 0.793 0.793 0.203
Hf12 0.804 0.804 0.690
Hf13 0.821 0.821 0.458
Hf14 0.997 0.997 0.334
As1 0.064 0.064 0.851
As2 0.174 0.174 0.111
As3 0.370 0.370 0.338
As4 0.374 0.374 0.600
As5 0.626 0.626 0.400
As6 0.630 0.630 0.662
As7 0.826 0.826 0.889
As8 0.936 0.936 0.149

The 8 most intense peaks (2θ from 10° to 90°), in order of rising 2θ:
31.53°, I 27; 33.03°, I 45; 34.46°, I 46; 36.50°, I 52; 37.63°, I 100; 37.92°, I 48; 40.18°, I 28; 50.53°, I 39